[1]
TbPmIr2: calculated XRD peak list (CuKα), based on a structure optimized by DFT (PBE).

Structure:
```
data_TbPmIr2
_space_group_name_H-M_alt 'F m -3 m'
_space_group_IT_number 225
_space_group_name_Hall '-F 4 2 3'
_cell_length_a 6.9749
_cell_length_b 6.9749
_cell_length_c 6.9749
_cell_angle_alpha 90.00
_cell_angle_beta 90.00
_cell_angle_gamma 90.00
loop_
_atom_site_label
_atom_site_type_symbol
_atom_site_fract_x
_atom_site_fract_y
_atom_site_fract_z
Tb1 Tb 0.0000 0.0000 0.0000
Pm1 Pm 0.0000 0.0000 0.5000
Ir1 Ir 0.2500 0.2500 0.2500
```

Most intense lines, 2θ = 10–90°, in order of rising 2θ:
hkl 2 0 0, 25.54 deg, rel. 1
hkl 2 2 0, 36.43 deg, rel. 100
hkl 4 0 0, 52.48 deg, rel. 18
hkl 4 2 0, 59.25 deg, rel. 1
hkl 4 2 2, 65.57 deg, rel. 36
hkl 4 4 0, 77.40 deg, rel. 11
hkl 6 2 0, 88.70 deg, rel. 17

***

[2]
DyMn2: calculated XRD peak list (CuKα), based on a structure optimized by DFT (PBE).

Structure:
```
data_DyMn2
_space_group_name_H-M_alt 'P 63/m m c'
_space_group_IT_number 194
_space_group_name_Hall '-P 6c 2c'
_cell_length_a 5.0149
_cell_length_b 5.0149
_cell_length_c 8.7184
_cell_angle_alpha 90.00
_cell_angle_beta 90.00
_cell_angle_gamma 120.00
loop_
_atom_site_label
_atom_site_type_symbol
_atom_site_fract_x
_atom_site_fract_y
_atom_site_fract_z
Dy1 Dy 0.3333 0.6667 0.0651
Mn1 Mn 0.0000 0.0000 0.0000
Mn2 Mn 0.1691 0.3382 0.7500
```

Most intense lines, 2θ = 10–90°, in order of rising 2θ:
hkl 0 0 2, 20.42 deg, rel. 22
hkl 1 1 0, 35.81 deg, rel. 59
hkl 1 0 3, 37.23 deg, rel. 100
hkl 1 1 2, 41.55 deg, rel. 96
hkl 2 0 1, 42.92 deg, rel. 45
hkl 2 1 3, 65.28 deg, rel. 37
hkl 3 0 2, 68.27 deg, rel. 18
hkl 2 0 5, 69.08 deg, rel. 25
hkl 2 2 0, 75.89 deg, rel. 18
hkl 3 1 3, 87.71 deg, rel. 17

***

[3]
Zr2GaP3O12: calculated XRD peak list (CuKα), based on a structure optimized by DFT (PBE).

Structure:
```
data_Zr2GaP3O12
_space_group_name_H-M_alt 'R -3 c'
_space_group_IT_number 167
_space_group_name_Hall '-R 3 2"c'
_cell_length_a 8.8768
_cell_length_b 8.8768
_cell_length_c 24.1641
_cell_angle_alpha 90.00
_cell_angle_beta 90.00
_cell_angle_gamma 120.00
loop_
_atom_site_label
_atom_site_type_symbol
_atom_site_fract_x
_atom_site_fract_y
_atom_site_fract_z
Zr1 Zr 0.0000 0.0000 0.1493
Ga1 Ga 0.0000 0.0000 0.0000
P1 P 0.0000 0.2875 0.2500
O1 O 0.0254 0.1986 0.9048
O2 O 0.0403 0.2097 0.1988
```

Most intense lines, 2θ = 10–90°, in order of rising 2θ:
hkl 1 0 4, 18.68 deg, rel. 17
hkl 1 1 0, 20.01 deg, rel. 95
hkl 1 1 3, 22.88 deg, rel. 54
hkl 0 2 4, 27.50 deg, rel. 18
hkl 1 1 6, 29.96 deg, rel. 100
hkl 3 0 0, 35.02 deg, rel. 34
hkl 0 3 6, 41.78 deg, rel. 18
hkl 2 2 6, 46.74 deg, rel. 33
hkl 4 1 0, 54.72 deg, rel. 24
hkl 4 1 6, 59.71 deg, rel. 19

***

[4]
LiCaRh: calculated XRD peak list (CuKα), based on a structure optimized by DFT (PBE).

Structure:
```
data_LiCaRh
_space_group_name_H-M_alt 'F -4 3 m'
_space_group_IT_number 216
_space_group_name_Hall 'F -4 2 3'
_cell_length_a 6.2100
_cell_length_b 6.2100
_cell_length_c 6.2100
_cell_angle_alpha 90.00
_cell_angle_beta 90.00
_cell_angle_gamma 90.00
loop_
_atom_site_label
_atom_site_type_symbol
_atom_site_fract_x
_atom_site_fract_y
_atom_site_fract_z
Li1 Li 0.0000 0.0000 0.0000
Ca1 Ca 0.2500 0.2500 0.2500
Rh1 Rh 0.2500 0.2500 0.7500
```

Most intense lines, 2θ = 10–90°, in order of rising 2θ:
hkl 1 1 1, 24.83 deg, rel. 37
hkl 2 0 0, 28.75 deg, rel. 100
hkl 2 2 0, 41.11 deg, rel. 84
hkl 3 1 1, 48.63 deg, rel. 19
hkl 2 2 2, 50.94 deg, rel. 26
hkl 4 0 0, 59.55 deg, rel. 14
hkl 3 3 1, 65.52 deg, rel. 8
hkl 4 2 0, 67.45 deg, rel. 32
hkl 4 2 2, 74.91 deg, rel. 27
hkl 4 4 0, 89.22 deg, rel. 9

***

[5]
Rb2Nb2P2S11: calculated XRD peak list (CuKα), based on a structure optimized by DFT (PBE).

Structure:
```
data_Rb2Nb2P2S11
_space_group_name_H-M_alt 'P 1 21/m 1'
_space_group_IT_number 11
_space_group_name_Hall '-P 2yb'
_cell_length_a 7.1349
_cell_length_b 7.1477
_cell_length_c 18.8836
_cell_angle_alpha 90.00
_cell_angle_beta 98.59
_cell_angle_gamma 90.00
loop_
_atom_site_label
_atom_site_type_symbol
_atom_site_fract_x
_atom_site_fract_y
_atom_site_fract_z
Rb1 Rb 0.2275 0.2500 0.0077
Rb2 Rb 0.2517 0.2500 0.4961
Nb1 Nb 0.3027 0.0491 0.7445
P1 P 0.2081 0.7500 0.8735
P2 P 0.3127 0.7500 0.6076
S1 S 0.0617 0.5165 0.8331
S2 S 0.0640 0.2500 0.6872
S3 S 0.1086 0.7500 0.6749
S4 S 0.2298 0.7500 0.5022
S5 S 0.2629 0.7500 0.9810
S6 S 0.4002 0.7500 0.2327
S7 S 0.4392 0.2500 0.8461
S8 S 0.4541 0.7500 0.8240
S9 S 0.4800 0.5222 0.6425
```

Most intense lines, 2θ = 10–90°, in order of rising 2θ:
hkl 1 0 -1, 12.73 deg, rel. 72
hkl 1 0 1, 14.07 deg, rel. 100
hkl 0 1 3, 18.91 deg, rel. 29
hkl 0 0 4, 19.01 deg, rel. 29
hkl 0 2 2, 26.71 deg, rel. 47
hkl 2 0 -4, 29.37 deg, rel. 32
hkl 1 2 3, 32.41 deg, rel. 47
hkl 2 0 4, 34.08 deg, rel. 25
hkl 2 2 2, 38.09 deg, rel. 41
hkl 0 2 6, 38.35 deg, rel. 35

***

[6]
Zr2Ir: calculated XRD peak list (CuKα), based on a structure optimized by DFT (PBE).

Structure:
Unit cell a=12.5490 b=12.5490 c=12.5490 alpha=90.00 beta=90.00 gamma=90.00
Space group Fd-3m (No. 227, origin choice 2)
Unique sites:
Zr  0.0000  0.0000  0.0000 x16
Zr  0.0622  0.3750  0.8750 x48
Ir  0.0272  0.0272  0.2228 x32

Most intense lines, 2θ = 10–90°, in order of rising 2θ:
hkl 1 1 1, 12.22 deg, rel. 12
hkl 2 2 2, 24.57 deg, rel. 29
hkl 4 0 0, 28.45 deg, rel. 12
hkl 4 2 2, 35.03 deg, rel. 20
hkl 3 3 3, 37.23 deg, rel. 100
hkl 4 4 0, 40.67 deg, rel. 41
hkl 5 5 3, 56.31 deg, rel. 17
hkl 6 6 0, 62.84 deg, rel. 23
hkl 9 3 3, 75.36 deg, rel. 13
hkl 7 7 3, 78.91 deg, rel. 14